Record 1
Starting from a PBE-relaxed structure, the X-ray diffraction stick pattern of K4NaHg3 was calculated for copper Kα.

Atomic structure:
```
8
Lattice="5.0140 0.0000 0.0000 0.0000 5.2086 0.0000 0.0000 0.0000 13.1274" Properties=species:S:1:pos:R:3 pbc="T T T"
K 0.0000 0.0000 0.0000
K 0.0000 2.6043 3.6122
K 2.5070 0.0000 6.2174
K 2.5070 2.6043 10.3141
Na 0.0000 0.0000 9.0859
Hg 0.0000 2.6043 7.3174
Hg 2.5070 0.0000 2.5906
Hg 2.5070 2.6043 0.9168
```

Main lines, low angle first (2θ = 10–80°):
d_spacing  I_rel
6.564  679
4.684  929
4.080  306
3.483  737
2.786  1000
2.777  569
2.604  303
2.507  273
2.276  312
1.861  354

Record 2
Starting from a PBE-relaxed structure, the X-ray diffraction stick pattern of KNaHg was calculated for copper Kα.

Atomic structure:
```
6
Lattice="-2.3788 3.5762 6.9164 2.3788 -3.5762 6.9164 2.3788 3.5762 -6.9164" Properties=species:S:1:pos:R:3 pbc="T T T"
K 0.0000 0.0000 2.7632
K 0.0000 0.0000 11.0697
Na 2.3788 1.8589 0.0000
Na 0.0000 1.7173 6.9164
Hg 2.3788 0.0000 5.4239
Hg 0.0000 3.5762 1.4925
```

Main lines, low angle first (2θ = 10–80°):
d_spacing  I_rel
6.353  1000
4.499  466
3.961  403
3.576  310
3.311  239
2.800  524
2.605  444
2.580  306
2.486  192
1.749  190

Record 3
Starting from a PBE-relaxed structure, the X-ray diffraction stick pattern of K4Na4Hg7 was calculated for copper Kα.

Atomic structure:
```
30
Lattice="-8.5735 8.5735 3.4228 8.5735 -8.5735 3.4228 8.5735 8.5735 -3.4228" Properties=species:S:1:pos:R:3 pbc="T T T"
K 3.4230 0.0000 0.0000
K 13.7239 0.0000 0.0000
K 0.0000 3.4230 0.0000
K 6.2163 6.2163 0.0000
K 2.3571 -2.3571 3.4228
K -2.3571 2.3571 3.4228
K 2.3571 2.3571 3.4228
K 0.0000 13.7239 0.0000
Na 6.0888 -2.4847 1.7114
Na 11.0581 -2.4847 1.7114
Na 6.0888 2.4847 1.7114
Na 11.0581 2.4847 1.7114
Na -2.4847 6.0888 1.7114
Na 2.4847 6.0888 1.7114
Na -2.4847 11.0581 1.7114
Na 2.4847 11.0581 1.7114
Hg 7.0765 0.0000 0.0000
Hg 10.0704 0.0000 0.0000
Hg 8.5735 3.4142 0.0000
Hg 3.6607 3.6607 0.0000
Hg 4.9128 -4.9128 3.4228
Hg 0.0000 0.0000 1.6314
Hg 0.0000 7.0765 0.0000
Hg 3.4142 8.5735 0.0000
Hg 5.1593 0.0000 3.4228
Hg 0.0000 10.0704 0.0000
Hg 0.0000 0.0000 5.2142
Hg -4.9128 4.9128 3.4228
Hg 4.9128 4.9128 3.4228
Hg 0.0000 5.1593 3.4228
```

Main lines, low angle first (2θ = 10–80°):
d_spacing  I_rel
4.287  366
4.042  279
3.423  274
3.294  257
3.066  1000
2.892  366
2.553  294
2.251  256
2.228  227
1.900  262

Record 4
Starting from a PBE-relaxed structure, the X-ray diffraction stick pattern of K2Na12Hg7 was calculated for copper Kα.

Atomic structure:
```
21
Lattice="12.7908 0.0000 0.0000 -6.3954 11.0772 0.0000 0.0000 0.0000 4.7864" Properties=species:S:1:pos:R:3 pbc="T T T"
K 0.0000 0.0000 0.0000
K 0.0000 7.3848 2.3932
Na -4.2150 8.4723 2.3932
Na -1.1802 4.2400 0.0000
Na 1.1657 3.1907 2.3932
Na -2.1333 9.9793 0.0000
Na 3.5915 2.3922 0.0000
Na 6.1685 1.2660 2.3932
Na 4.4075 5.1021 2.3932
Na 3.3136 7.9351 0.0000
Na 3.0493 10.4914 2.3932
Na 8.9234 1.9142 0.0000
Na 6.6714 6.7708 0.0000
Na 8.6102 4.7091 2.3932
Hg -2.9032 6.8141 0.0000
Hg 2.8676 0.4836 2.3932
Hg 1.9458 5.1559 0.0000
Hg 0.9574 10.1843 0.0000
Hg 6.3954 3.6924 0.0000
Hg 5.3805 8.3520 2.3932
Hg 10.9382 2.2416 2.3932
```

Main lines, low angle first (2θ = 10–80°):
d_spacing  I_rel
4.394  313
4.187  1000
3.832  316
3.621  320
3.151  330
2.585  345
2.417  391
2.395  295
2.078  327
1.701  357

Record 5
Starting from a PBE-relaxed structure, the X-ray diffraction stick pattern of K12NaHg5 was calculated for copper Kα.

Atomic structure:
```
18
Lattice="-5.8326 5.8397 6.5392 5.8326 -5.8397 6.5392 5.8326 5.8397 -6.5392" Properties=species:S:1:pos:R:3 pbc="T T T"
K 5.8326 3.5415 -3.5176
K 3.2161 2.1291 0.0000
K 8.4492 2.1291 0.0000
K 2.3117 5.8397 -2.3012
K 3.5210 0.0000 4.2380
K 0.0000 2.2981 3.0215
K 5.8326 3.5415 3.5176
K 2.3117 5.8397 2.3012
K 3.5210 0.0000 8.8403
K -2.6165 3.7106 6.5392
K 2.6165 3.7106 6.5392
K 0.0000 2.2981 10.0568
Na 0.0000 0.0000 6.5392
Hg 0.0000 0.0000 0.0000
Hg 5.8326 0.0000 1.5149
Hg 0.0000 4.2807 0.0000
Hg 0.0000 7.3987 0.0000
Hg 0.0000 5.8397 5.0242
```

Main lines, low angle first (2θ = 10–80°):
d_spacing  I_rel
8.707  574
8.254  815
6.539  395
5.834  1000
3.346  451
3.215  498
3.143  959
2.448  407
2.298  411
1.708  402

Record 6
Starting from a PBE-relaxed structure, the X-ray diffraction stick pattern of K2NaHg4 was calculated for copper Kα.

Atomic structure:
```
7
Lattice="4.3729 -2.5288 0.0000 4.3729 2.5288 0.0000 -0.0096 0.0000 12.4381" Properties=species:S:1:pos:R:3 pbc="T T T"
K 1.4566 0.0000 4.4434
K 7.2795 0.0000 7.9947
Na 4.3729 0.0000 0.0000
Hg 1.4552 0.0000 1.0552
Hg 1.4528 0.0000 10.1859
Hg 7.2833 0.0000 2.2522
Hg 7.2809 0.0000 11.3829
```

Main lines, low angle first (2θ = 10–80°):
d_spacing  I_rel
4.376  555
4.135  258
3.010  653
2.534  1000
2.526  437
2.476  359
1.935  189
1.790  278
1.536  171
1.460  345

Record 7
Starting from a PBE-relaxed structure, the X-ray diffraction stick pattern of K4Na4Hg was calculated for copper Kα.

Atomic structure:
```
9
Lattice="-3.6221 3.6221 8.4861 3.6221 -3.6221 8.4861 3.6221 3.6221 -8.4861" Properties=species:S:1:pos:R:3 pbc="T T T"
K 2.0507 2.0507 -2.8943
K 1.5714 -1.5714 11.3804
K 1.5714 1.5714 5.5918
K -1.5714 1.5714 11.3804
Na 2.0963 -2.0963 7.4319
Na 1.5257 1.5257 1.0542
Na -2.0963 2.0963 7.4319
Na 2.0963 2.0963 9.5403
Hg 0.0000 0.0000 8.4861
```

Main lines, low angle first (2θ = 10–80°):
d_spacing  I_rel
8.486  345
6.663  1000
5.122  340
4.459  259
4.385  475
3.331  265
3.268  500
3.182  460
3.074  233
2.811  411

Record 8
Starting from a PBE-relaxed structure, the X-ray diffraction stick pattern of K3Na5Hg2 was calculated for copper Kα.

Atomic structure:
```
20
Lattice="12.7741 0.0000 0.0000 0.0000 12.7741 0.0000 0.0000 0.0000 4.9791" Properties=species:S:1:pos:R:3 pbc="T T T"
K 0.0000 0.0000 0.0000
K 2.1905 4.1965 0.0000
K 4.1965 10.5836 0.0000
K 6.3870 6.3870 0.0000
K 8.5775 2.1905 0.0000
K 10.5836 8.5775 0.0000
Na 0.0000 6.3870 2.4896
Na 0.9516 9.8635 2.4896
Na 2.9106 0.9516 2.4896
Na 3.4764 7.3386 2.4896
Na 5.4355 3.4764 2.4896
Na 6.3870 0.0000 2.4896
Na 7.3386 9.2976 2.4896
Na 9.2976 5.4355 2.4896
Na 9.8635 11.8225 2.4896
Na 11.8225 2.9106 2.4896
Hg 1.5414 7.9284 0.0000
Hg 4.8456 1.5414 0.0000
Hg 7.9284 11.2327 0.0000
Hg 11.2327 4.8456 0.0000
```

Main lines, low angle first (2θ = 10–80°):
d_spacing  I_rel
5.713  1000
4.979  503
4.360  276
4.040  401
3.754  404
3.543  377
3.137  796
2.887  863
2.688  534
2.057  257

Record 9
Starting from a PBE-relaxed structure, the X-ray diffraction stick pattern of K12Na2Hg was calculated for copper Kα.

Atomic structure:
```
30
Lattice="8.1942 0.0000 0.0000 0.0000 8.1942 0.0000 0.0000 0.0000 30.2054" Properties=species:S:1:pos:R:3 pbc="T T T"
K 0.0001 8.1942 2.1447
K 8.1942 0.0001 28.0606
K 8.1942 4.0970 2.1447
K 0.0001 4.0972 28.0606
K 0.5622 4.6593 13.0567
K 0.5622 7.6320 17.1487
K 2.0486 2.0486 5.6473
K 2.0486 2.0486 9.6308
K 2.0486 2.0486 20.5746
K 2.0486 2.0486 24.5580
K 3.5349 4.6593 17.1487
K 3.5349 7.6320 13.0567
K 4.0972 0.0001 2.1447
K 4.0970 8.1942 28.0606
K 4.0970 4.0972 2.1447
K 4.0972 4.0970 28.0606
K 4.6593 0.5622 17.1487
K 4.6593 3.5349 13.0567
K 6.1457 6.1457 5.6473
K 6.1457 6.1457 9.6308
K 6.1457 6.1457 20.5746
K 6.1457 6.1457 24.5580
K 7.6320 0.5622 13.0567
K 7.6320 3.5349 17.1487
Na 2.0486 6.1457 7.4474
Na 2.0486 6.1457 22.7579
Na 6.1457 2.0486 7.4474
Na 6.1457 2.0486 22.7579
Hg 2.0486 6.1457 0.0000
Hg 6.1457 2.0486 0.0000
```

Main lines, low angle first (2θ = 10–80°):
d_spacing  I_rel
5.690  415
5.410  1000
5.022  347
4.597  571
3.601  383
3.178  940
3.163  501
2.898  691
2.779  397
2.136  491

Record 10
Starting from a PBE-relaxed structure, the X-ray diffraction stick pattern of K3Na2Hg3 was calculated for copper Kα.

Atomic structure:
```
8
Lattice="-2.2955 2.8130 11.4711 2.2955 -2.8130 11.4711 2.2955 2.8130 -11.4711" Properties=species:S:1:pos:R:3 pbc="T T T"
K 0.0000 0.0000 0.0000
K 2.2955 0.0000 8.6754
K 0.0000 2.8130 2.7957
Na 0.0000 0.0000 5.6750
Na 0.0000 0.0000 17.2672
Hg 2.2955 0.0000 3.3845
Hg 0.0000 0.0000 11.4711
Hg 0.0000 2.8130 8.0866
```

Main lines, low angle first (2θ = 10–80°):
d_spacing  I_rel
4.532  594
4.502  287
3.824  206
3.397  239
3.023  1000
2.813  244
2.667  183
2.048  160
1.928  193
1.662  169

Record 11
Starting from a PBE-relaxed structure, the X-ray diffraction stick pattern of KNa5Hg4 was calculated for copper Kα.

Atomic structure:
```
10
Lattice="3.9082 0.0000 0.0000 0.0000 3.9082 0.0000 0.0000 0.0000 19.9112" Properties=species:S:1:pos:R:3 pbc="T T T"
K 0.0000 0.0000 0.0000
Na 1.9541 1.9541 3.0582
Na 1.9541 1.9541 6.4746
Na 1.9541 1.9541 9.9556
Na 1.9541 1.9541 13.4367
Na 1.9541 1.9541 16.8531
Hg 0.0000 0.0000 4.7461
Hg 0.0000 0.0000 8.2099
Hg 0.0000 0.0000 11.7014
Hg 0.0000 0.0000 15.1651
```

Main lines, low angle first (2θ = 10–80°):
d_spacing  I_rel
3.982  256
3.908  1000
2.789  620
2.764  760
2.530  889
2.270  238
2.124  288
1.954  280
1.600  234
1.546  397

Record 12
Starting from a PBE-relaxed structure, the X-ray diffraction stick pattern of K2Na5Hg2 was calculated for copper Kα.

Atomic structure:
```
9
Lattice="6.7796 0.0000 0.0000 -3.1625 6.0154 0.0000 -0.7610 -3.5891 8.1310" Properties=species:S:1:pos:R:3 pbc="T T T"
K 0.1274 1.9704 0.9222
K 2.7287 0.4559 7.2088
Na -0.6564 0.5141 5.0175
Na 1.7366 -1.1221 3.0427
Na 3.3898 0.0000 0.0000
Na 1.1195 3.5484 5.0882
Na 3.5125 1.9122 3.1134
Hg 0.8489 -2.5275 5.7920
Hg 2.0072 4.9539 2.3390
```

Main lines, low angle first (2θ = 10–80°):
d_spacing  I_rel
5.488  1000
5.054  382
4.401  325
4.180  341
3.510  237
3.037  255
2.880  522
2.752  212
2.736  198
2.712  214

Copy entry 12 word for word.
Starting from a PBE-relaxed structure, the X-ray diffraction stick pattern of K2Na5Hg2 was calculated for copper Kα.

Atomic structure:
```
9
Lattice="6.7796 0.0000 0.0000 -3.1625 6.0154 0.0000 -0.7610 -3.5891 8.1310" Properties=species:S:1:pos:R:3 pbc="T T T"
K 0.1274 1.9704 0.9222
K 2.7287 0.4559 7.2088
Na -0.6564 0.5141 5.0175
Na 1.7366 -1.1221 3.0427
Na 3.3898 0.0000 0.0000
Na 1.1195 3.5484 5.0882
Na 3.5125 1.9122 3.1134
Hg 0.8489 -2.5275 5.7920
Hg 2.0072 4.9539 2.3390
```

Main lines, low angle first (2θ = 10–80°):
d_spacing  I_rel
5.488  1000
5.054  382
4.401  325
4.180  341
3.510  237
3.037  255
2.880  522
2.752  212
2.736  198
2.712  214